(1)
For Li2CoSnP2O8, a DFT-relaxed cell (GGA+U, the Materials Project) gives the computed powder X-ray diffraction pattern in this record (Cu Kα X-rays).

Top 6 peaks for 10° ≤ 2θ ≤ 90°, low angle first:
2θ (°), I (rel.), index
14.90, 37, 0 0 2
18.32, 33, 0 2 -1
23.74, 82, 1 2 -1
25.89, 41, 1 2 1
30.30, 100, 2 0 0
33.76, 43, 1 0 4

a = 5.898 Å, b = 9.924 Å, c = 12.111 Å
α = 100.90°, β = 90.00°, γ = 90.01°
Space group P1 (No. 1)
One atom of each set of equivalent atoms:
Li (0.000, 0.000, 0.000) [1 per cell]
Li (0.000, 0.246, 0.502) [1 per cell]
Li (0.003, 0.501, 0.000) [1 per cell]
Li (0.008, 0.738, 0.508) [1 per cell]
Li (0.494, 0.738, 0.508) [1 per cell]
Li (0.497, 0.501, 0.001) [1 per cell]
Li (0.499, 0.001, 0.001) [1 per cell]
Li (0.501, 0.245, 0.502) [1 per cell]
Co (0.251, 0.473, 0.321) [1 per cell]
Co (0.251, 0.974, 0.320) [1 per cell]
Co (0.751, 0.016, 0.683) [1 per cell]
Co (0.751, 0.517, 0.688) [1 per cell]
Sn (0.251, 0.267, 0.784) [1 per cell]
Sn (0.251, 0.772, 0.787) [1 per cell]
Sn (0.751, 0.224, 0.219) [1 per cell]
Sn (0.751, 0.725, 0.223) [1 per cell]
P (0.251, 0.296, 0.107) [1 per cell]
P (0.251, 0.461, 0.585) [1 per cell]
P (0.251, 0.796, 0.106) [1 per cell]
P (0.251, 0.960, 0.582) [1 per cell]
P (0.751, 0.031, 0.419) [1 per cell]
P (0.751, 0.199, 0.894) [1 per cell]
P (0.751, 0.528, 0.422) [1 per cell]
P (0.751, 0.701, 0.898) [1 per cell]
O (0.035, 0.407, 0.639) [1 per cell]
O (0.035, 0.905, 0.636) [1 per cell]
O (0.044, 0.860, 0.184) [1 per cell]
O (0.045, 0.360, 0.185) [1 per cell]
O (0.250, 0.640, 0.082) [1 per cell]
O (0.250, 0.859, 0.999) [1 per cell]
O (0.251, 0.118, 0.597) [1 per cell]
O (0.251, 0.140, 0.083) [1 per cell]
O (0.251, 0.359, 0.999) [1 per cell]
O (0.251, 0.380, 0.460) [1 per cell]
O (0.251, 0.619, 0.597) [1 per cell]
O (0.251, 0.880, 0.458) [1 per cell]
O (0.457, 0.361, 0.184) [1 per cell]
O (0.457, 0.860, 0.184) [1 per cell]
O (0.466, 0.905, 0.636) [1 per cell]
O (0.467, 0.407, 0.639) [1 per cell]
O (0.535, 0.086, 0.366) [1 per cell]
O (0.535, 0.583, 0.369) [1 per cell]
O (0.544, 0.636, 0.821) [1 per cell]
O (0.545, 0.131, 0.819) [1 per cell]
O (0.750, 0.639, 0.006) [1 per cell]
O (0.751, 0.109, 0.544) [1 per cell]
O (0.751, 0.142, 0.005) [1 per cell]
O (0.751, 0.355, 0.912) [1 per cell]
O (0.751, 0.370, 0.408) [1 per cell]
O (0.751, 0.608, 0.547) [1 per cell]
O (0.751, 0.857, 0.920) [1 per cell]
O (0.751, 0.873, 0.403) [1 per cell]
O (0.957, 0.131, 0.819) [1 per cell]
O (0.957, 0.635, 0.821) [1 per cell]
O (0.967, 0.086, 0.366) [1 per cell]
O (0.967, 0.583, 0.369) [1 per cell]



(2)
For Li2CoSnP2O8, a DFT-relaxed cell (GGA+U, the Materials Project) gives the computed powder X-ray diffraction pattern in this record (Cu Kα X-rays).

Top 6 peaks for 10° ≤ 2θ ≤ 90°, low angle first:
2θ (°), I (rel.), index
15.80, 95, 0 0 2
24.07, 51, 0 2 -1
24.48, 89, 1 2 2
24.71, 52, -1 2 2
28.26, 100, 2 0 0
33.75, 40, -1 2 4

a = 6.316 Å, b = 9.688 Å, c = 12.145 Å
α = 67.47°, β = 89.74°, γ = 89.33°
Space group P1 (No. 1)
One atom of each set of equivalent atoms:
Li (0.000, 0.000, 0.000) [1 per cell]
Li (0.000, 0.001, 0.500) [1 per cell]
Li (0.000, 0.502, 0.500) [1 per cell]
Li (0.499, 0.004, 0.998) [1 per cell]
Li (0.500, 0.001, 0.500) [1 per cell]
Li (0.500, 0.499, 0.000) [1 per cell]
Li (0.501, 0.502, 0.499) [1 per cell]
Li (0.995, 0.494, 0.005) [1 per cell]
Co (0.251, 0.681, 0.707) [1 per cell]
Co (0.252, 0.181, 0.707) [1 per cell]
Co (0.749, 0.322, 0.293) [1 per cell]
Co (0.750, 0.827, 0.291) [1 per cell]
Sn (0.247, 0.630, 0.224) [1 per cell]
Sn (0.248, 0.129, 0.225) [1 per cell]
Sn (0.753, 0.374, 0.776) [1 per cell]
Sn (0.753, 0.873, 0.776) [1 per cell]
P (0.249, 0.890, 0.878) [1 per cell]
P (0.250, 0.248, 0.425) [1 per cell]
P (0.251, 0.747, 0.425) [1 per cell]
P (0.252, 0.389, 0.879) [1 per cell]
P (0.750, 0.255, 0.575) [1 per cell]
P (0.750, 0.614, 0.121) [1 per cell]
P (0.751, 0.114, 0.121) [1 per cell]
P (0.752, 0.755, 0.574) [1 per cell]
O (0.050, 0.212, 0.364) [1 per cell]
O (0.051, 0.709, 0.364) [1 per cell]
O (0.052, 0.996, 0.824) [1 per cell]
O (0.055, 0.492, 0.821) [1 per cell]
O (0.243, 0.743, 0.858) [1 per cell]
O (0.248, 0.411, 0.416) [1 per cell]
O (0.248, 0.911, 0.415) [1 per cell]
O (0.252, 0.241, 0.860) [1 per cell]
O (0.255, 0.368, 0.013) [1 per cell]
O (0.256, 0.128, 0.554) [1 per cell]
O (0.256, 0.629, 0.555) [1 per cell]
O (0.260, 0.869, 0.011) [1 per cell]
O (0.443, 0.990, 0.814) [1 per cell]
O (0.446, 0.491, 0.819) [1 per cell]
O (0.448, 0.212, 0.360) [1 per cell]
O (0.448, 0.710, 0.360) [1 per cell]
O (0.552, 0.291, 0.640) [1 per cell]
O (0.554, 0.790, 0.640) [1 per cell]
O (0.557, 0.013, 0.184) [1 per cell]
O (0.557, 0.513, 0.185) [1 per cell]
O (0.741, 0.633, 0.988) [1 per cell]
O (0.744, 0.133, 0.988) [1 per cell]
O (0.745, 0.374, 0.446) [1 per cell]
O (0.747, 0.876, 0.445) [1 per cell]
O (0.752, 0.091, 0.584) [1 per cell]
O (0.753, 0.592, 0.583) [1 per cell]
O (0.754, 0.762, 0.140) [1 per cell]
O (0.756, 0.262, 0.139) [1 per cell]
O (0.947, 0.510, 0.177) [1 per cell]
O (0.948, 0.010, 0.178) [1 per cell]
O (0.951, 0.290, 0.636) [1 per cell]
O (0.952, 0.791, 0.636) [1 per cell]